Structure and theoretical XRD peak list of Tm2NiPt (the GGA-PBE geometry in the Materials Project; Cu Kα (λ = 1.5418 Å)).
Neutral-atom scattering factors, no anomalous dispersion.

Structural model:
Unit cell a=4.780 b=4.780 c=4.780 alpha=60.00 beta=60.00 gamma=60.00
Fractional positions:
Tm (0.250, 0.250, 0.250)
Tm (0.750, 0.750, 0.750)
Ni (0.000, 0.000, 0.000)
Pt (0.500, 0.500, 0.500)

Largest 10 diffraction maxima, sorted by position, 10° ≤ 2θ ≤ 90°:
d/Å	I (rel.)
3.903	11
3.380	2
2.390	100
2.038	6
1.690	17
1.551	3
1.380	35
1.301	2
1.195	11
1.143	2

---

Structure and theoretical XRD peak list of MgTe4Mo2W2Se2S2 (the GGA-PBE geometry in the Materials Project; Cu Kα (λ = 1.5418 Å)).
Neutral-atom scattering factors, no anomalous dispersion.

Structural model:
Unit cell a=3.400 b=3.401 c=44.996 alpha=90.04 beta=90.03 gamma=120.00
Fractional positions:
Mg (0.000, 0.000, 0.000)
Te (0.666, 0.330, 0.230)
Te (0.666, 0.330, 0.848)
Te (0.667, 0.331, 0.313)
Te (0.668, 0.331, 0.931)
Mo (0.334, 0.664, 0.889)
Mo (0.666, 0.330, 0.091)
W (0.333, 0.664, 0.271)
W (0.666, 0.331, 0.708)
Se (0.333, 0.664, 0.671)
Se (0.333, 0.665, 0.744)
S (0.332, 0.662, 0.057)
S (0.333, 0.664, 0.124)

Largest 10 diffraction maxima, sorted by position, 10° ≤ 2θ ≤ 90°:
d/Å	I (rel.)
7.499	29
2.944	54
2.920	21
2.799	31
2.609	89
2.464	48
2.243	100
2.101	33
1.700	41
1.355	20

---

Structure and theoretical XRD peak list of Ho4InNi2Ge4 (the GGA-PBE geometry in the Materials Project; Cu Kα (λ = 1.5418 Å)).
Neutral-atom scattering factors, no anomalous dispersion.

Structural model:
Unit cell a=8.018 b=8.018 c=7.035 alpha=108.00 beta=108.00 gamma=30.55
Fractional positions:
Ho (0.092, 0.092, 0.391)
Ho (0.156, 0.156, 0.938)
Ho (0.844, 0.844, 0.062)
Ho (0.908, 0.908, 0.609)
In (0.500, 0.500, 0.000)
Ni (0.283, 0.283, 0.357)
Ni (0.717, 0.717, 0.643)
Ge (0.297, 0.297, 0.729)
Ge (0.435, 0.435, 0.337)
Ge (0.565, 0.565, 0.663)
Ge (0.703, 0.703, 0.271)

Largest 10 diffraction maxima, sorted by position, 10° ≤ 2θ ≤ 90°:
d/Å	I (rel.)
3.196	27
2.671	74
2.594	100
2.575	29
2.483	36
2.470	54
2.408	34
2.364	22
2.221	22
2.113	52

---

Structure and theoretical XRD peak list of YAl (the GGA-PBE geometry in the Materials Project; Cu Kα (λ = 1.5418 Å)).
Neutral-atom scattering factors, no anomalous dispersion.

Structural model:
Unit cell a=6.083 b=6.083 c=4.483 alpha=90.00 beta=90.00 gamma=143.28
Fractional positions:
Y (0.150, 0.850, 0.750)
Y (0.850, 0.150, 0.250)
Al (0.430, 0.570, 0.750)
Al (0.570, 0.430, 0.250)

Largest 10 diffraction maxima, sorted by position, 10° ≤ 2θ ≤ 90°:
d/Å	I (rel.)
3.541	54
2.887	23
2.825	100
2.716	54
2.427	28
2.323	24
2.241	25
1.810	17
1.770	18
1.729	27

---

Structure and theoretical XRD peak list of Zn5B3Ir7 (the GGA-PBE geometry in the Materials Project; Cu Kα (λ = 1.5418 Å)).
Neutral-atom scattering factors, no anomalous dispersion.

Structural model:
Unit cell a=11.466 b=2.823 c=12.243 alpha=90.00 beta=90.00 gamma=90.00
Fractional positions:
Zn (0.063, 0.000, 0.157)
Zn (0.134, 0.000, 0.361)
Zn (0.250, 0.000, 0.034)
Zn (0.366, 0.000, 0.361)
Zn (0.437, 0.000, 0.157)
Zn (0.563, 0.000, 0.843)
Zn (0.634, 0.000, 0.639)
Zn (0.750, 0.000, 0.966)
Zn (0.866, 0.000, 0.639)
Zn (0.937, 0.000, 0.843)
B (0.119, 0.000, 0.589)
B (0.250, 0.000, 0.774)
B (0.381, 0.000, 0.589)
B (0.619, 0.000, 0.411)
B (0.750, 0.000, 0.226)
B (0.881, 0.000, 0.411)
Ir (0.000, 0.500, 0.500)
Ir (0.093, 0.500, 0.942)
Ir (0.113, 0.500, 0.724)
Ir (0.250, 0.500, 0.216)
Ir (0.250, 0.500, 0.525)
Ir (0.387, 0.500, 0.724)
Ir (0.407, 0.500, 0.942)
Ir (0.500, 0.500, 0.500)
Ir (0.593, 0.500, 0.058)
Ir (0.613, 0.500, 0.276)
Ir (0.750, 0.500, 0.475)
Ir (0.750, 0.500, 0.784)
Ir (0.887, 0.500, 0.276)
Ir (0.907, 0.500, 0.058)

Largest 10 diffraction maxima, sorted by position, 10° ≤ 2θ ≤ 90°:
d/Å	I (rel.)
3.648	62
3.061	40
2.823	72
2.391	72
2.344	90
2.233	100
2.075	70
2.062	44
1.985	63
1.804	45

---

Please write out number 1 again, unchanged.
Structure and theoretical XRD peak list of Tm2NiPt (the GGA-PBE geometry in the Materials Project; Cu Kα (λ = 1.5418 Å)).
Neutral-atom scattering factors, no anomalous dispersion.

Structural model:
Unit cell a=4.780 b=4.780 c=4.780 alpha=60.00 beta=60.00 gamma=60.00
Fractional positions:
Tm (0.250, 0.250, 0.250)
Tm (0.750, 0.750, 0.750)
Ni (0.000, 0.000, 0.000)
Pt (0.500, 0.500, 0.500)

Largest 10 diffraction maxima, sorted by position, 10° ≤ 2θ ≤ 90°:
d/Å	I (rel.)
3.903	11
3.380	2
2.390	100
2.038	6
1.690	17
1.551	3
1.380	35
1.301	2
1.195	11
1.143	2